Theoretical powder X-ray diffraction pattern
Compound: K8PO3
Radiation: CuKα
Structure: DFT lattice parameters and positions (PBE)
Neutral-atom scattering factors, no anomalous dispersion.

Main lines, sorted by position (2θ = 10–90°):
| hkl | 2θ (°) | I (rel.) |
| --- | --- | --- |
| 1 1 1 | 22.5 | 12.1 |
| 2 0 0 | 26.0 | 50.2 |
| 2 2 0 | 37.1 | 100.0 |
| 4 0 0 | 53.5 | 14.2 |
| 4 2 0 | 60.4 | 13.2 |
| 4 2 2 | 66.9 | 25.3 |

Structural model:
Lattice parameters (Å, degrees): 6.8550 6.8550 6.8550 90.00 90.00 90.00
Atoms (fractional coordinates):
K1 0.2367 0.2367 0.2367
K2 0.2367 0.2367 0.7633
K3 0.2367 0.7633 0.2367
K4 0.2367 0.7633 0.7633
K5 0.7633 0.2367 0.2367
K6 0.7633 0.2367 0.7633
K7 0.7633 0.7633 0.2367
K8 0.7633 0.7633 0.7633
P1 0.5000 0.5000 0.5000
O1 0.0000 0.0000 0.5000
O2 0.0000 0.5000 0.0000
O3 0.5000 0.0000 0.0000

Theoretical powder X-ray diffraction pattern
Compound: K2P2PdO7
Radiation: CuKα
Structure: DFT lattice parameters and positions (PBE)
Neutral-atom scattering factors, no anomalous dispersion.

Main lines, sorted by position (2θ = 10–90°):
| hkl | 2θ (°) | I (rel.) |
| --- | --- | --- |
| 0 1 1 | 14.8 | 28.4 |
| 0 0 2 | 15.9 | 51.0 |
| 0 1 3 | 27.1 | 25.9 |
| 2 1 2 | 27.6 | 100.0 |
| 2 2 1 | 32.5 | 51.7 |
| 2 3 2 | 45.8 | 18.1 |

Structural model:
Lattice parameters (Å, degrees): 9.5555 7.0865 11.1654 90.00 90.00 90.00
Atoms (fractional coordinates):
K1 0.0908 0.2500 0.0326
K2 0.1496 0.2500 0.4681
K3 0.3504 0.7500 0.9681
K4 0.4092 0.7500 0.5326
K5 0.5908 0.2500 0.4674
K6 0.6496 0.2500 0.0319
K7 0.8504 0.7500 0.5319
K8 0.9092 0.7500 0.9674
P1 0.1345 0.5342 0.7308
P2 0.1345 0.9658 0.7308
P3 0.3655 0.0342 0.2308
P4 0.3655 0.4658 0.2308
P5 0.6345 0.5342 0.7692
P6 0.6345 0.9658 0.7692
P7 0.8655 0.0342 0.2692
P8 0.8655 0.4658 0.2692
Pd1 0.1132 0.7500 0.2561
Pd2 0.3868 0.2500 0.7561
Pd3 0.6132 0.7500 0.2439
Pd4 0.8868 0.2500 0.7439
O1 0.0015 0.0393 0.6640
O2 0.0015 0.4607 0.6640
O3 0.1292 0.5306 0.8652
O4 0.1292 0.9694 0.8652
O5 0.1444 0.7500 0.6790
O6 0.2317 0.5511 0.1721
O7 0.2317 0.9489 0.1721
O8 0.2683 0.0511 0.6721
O9 0.2683 0.4489 0.6721
O10 0.3556 0.2500 0.1790
O11 0.3708 0.0306 0.3652
O12 0.3708 0.4694 0.3652
O13 0.4985 0.5393 0.1640
O14 0.4985 0.9607 0.1640
O15 0.5015 0.0393 0.8360
O16 0.5015 0.4607 0.8360
O17 0.6292 0.5306 0.6348
O18 0.6292 0.9694 0.6348
O19 0.6444 0.7500 0.8210
O20 0.7317 0.5511 0.3279
O21 0.7317 0.9489 0.3279
O22 0.7683 0.0511 0.8279
O23 0.7683 0.4489 0.8279
O24 0.8556 0.2500 0.3210
O25 0.8708 0.0306 0.1348
O26 0.8708 0.4694 0.1348
O27 0.9985 0.5393 0.3360
O28 0.9985 0.9607 0.3360

Theoretical powder X-ray diffraction pattern
Compound: K3PrP2O8
Radiation: CuKα
Structure: DFT lattice parameters and positions (PBE)
Neutral-atom scattering factors, no anomalous dispersion.

Main lines, sorted by position (2θ = 10–90°):
| hkl | 2θ (°) | I (rel.) |
| --- | --- | --- |
| 1 0 0 | 11.7 | 100.0 |
| 1 1 1 | 21.6 | 86.1 |
| 2 0 -2 | 29.7 | 88.2 |
| 2 1 1 | 29.9 | 93.3 |
| 0 2 0 | 31.3 | 73.7 |
| 0 1 3 | 31.8 | 86.1 |

Structural model:
Lattice parameters (Å, degrees): 7.5680 5.7229 9.6775 90.00 90.89 90.00
Atoms (fractional coordinates):
K1 0.0076 0.2500 0.1909
K2 0.1389 0.7500 0.4060
K3 0.2959 0.2500 0.9170
K4 0.7041 0.7500 0.0830
K5 0.8611 0.2500 0.5940
K6 0.9924 0.7500 0.8091
Pr1 0.4932 0.7500 0.7075
Pr2 0.5068 0.2500 0.2925
P1 0.2648 0.7500 0.0856
P2 0.3019 0.2500 0.5743
P3 0.6981 0.7500 0.4257
P4 0.7352 0.2500 0.9144
O1 0.0629 0.7500 0.0997
O2 0.2164 0.2500 0.4262
O3 0.2446 0.0274 0.6547
O4 0.2446 0.4726 0.6547
O5 0.3197 0.7500 0.9307
O6 0.3438 0.5280 0.1580
O7 0.3438 0.9720 0.1580
O8 0.4948 0.7500 0.4446
O9 0.5052 0.2500 0.5554
O10 0.6562 0.0280 0.8420
O11 0.6562 0.4720 0.8420
O12 0.6803 0.2500 0.0693
O13 0.7554 0.5274 0.3453
O14 0.7554 0.9726 0.3453
O15 0.7836 0.7500 0.5738
O16 0.9371 0.2500 0.9003